(1)
For CsSi2HO5, a crystal structure in Alexandria, relaxed with GGA-PBE gives the simulated powder X-ray diffraction pattern in this record (Cu Kα (λ = 1.5418 Å)).
Neutral-atom scattering factors, no anomalous dispersion.

Atomic structure:
Cell: 5.082 8.946 13.080 Å, 90.00 90.00 90.00°
Space group P2_12_12_1 (No. 19)
One atom of each set of equivalent atoms:
Cs 0.076 0.246 0.313 (multiplicity 4)
Si 0.046 0.929 0.566 (multiplicity 4)
Si 0.048 0.569 0.570 (multiplicity 4)
H 0.012 0.003 0.740 (multiplicity 4)
O 0.064 0.750 0.591 (multiplicity 4)
O 0.113 0.477 0.672 (multiplicity 4)
O 0.116 0.025 0.667 (multiplicity 4)
O 0.248 0.529 0.474 (multiplicity 4)
O 0.249 0.972 0.472 (multiplicity 4)

The 12 most intense peaks (10° ≤ 2θ ≤ 90°), low angle first:
| 2theta | I/Imax |
| --- | --- |
| 21.22 | 34 |
| 22.69 | 80 |
| 24.10 | 54 |
| 24.31 | 91 |
| 26.94 | 34 |
| 27.42 | 100 |
| 30.75 | 19 |
| 34.11 | 18 |
| 35.76 | 29 |
| 38.43 | 18 |
| 44.83 | 48 |
| 56.31 | 29 |



(2)
For CsSi3HO7, a crystal structure in Alexandria, relaxed with GGA-PBE gives the simulated powder X-ray diffraction pattern in this record (Cu Kα (λ = 1.5418 Å)).
Neutral-atom scattering factors, no anomalous dispersion.

Atomic structure:
Cell: 5.002 10.580 14.370 Å, 90.00 90.00 90.00°
Space group P2_12_12_1 (No. 19)
One atom of each set of equivalent atoms:
Cs 0.035 0.086 0.255 (multiplicity 4)
Si 0.042 0.915 0.508 (multiplicity 4)
Si 0.046 0.652 0.608 (multiplicity 4)
Si 0.106 0.202 0.556 (multiplicity 4)
H 0.035 0.693 0.787 (multiplicity 4)
O 0.025 0.256 0.657 (multiplicity 4)
O 0.076 0.807 0.588 (multiplicity 4)
O 0.096 0.744 0.029 (multiplicity 4)
O 0.117 0.619 0.713 (multiplicity 4)
O 0.120 0.047 0.559 (multiplicity 4)
O 0.235 0.579 0.530 (multiplicity 4)
O 0.235 0.887 0.419 (multiplicity 4)

The 12 most intense peaks (10° ≤ 2θ ≤ 90°), low angle first:
| 2theta | I/Imax |
| --- | --- |
| 17.87 | 28 |
| 18.78 | 20 |
| 24.49 | 61 |
| 24.78 | 33 |
| 25.08 | 75 |
| 25.28 | 46 |
| 25.75 | 100 |
| 26.01 | 23 |
| 27.50 | 84 |
| 40.57 | 32 |
| 45.35 | 27 |
| 51.44 | 21 |



(3)
For CsTeH2O4, a crystal structure in Alexandria, relaxed with GGA-PBE gives the simulated powder X-ray diffraction pattern in this record (Cu Kα (λ = 1.5418 Å)).
Neutral-atom scattering factors, no anomalous dispersion.

Atomic structure:
Cell: 4.631 7.481 8.186 Å, 90.00 90.00 90.00°
Space group I222 (No. 23)
One atom of each set of equivalent atoms:
Cs 0.000 0.000 0.000 (multiplicity 2)
Te 0.000 0.000 0.500 (multiplicity 2)
H 0.000 0.500 0.146 (multiplicity 4)
O 0.216 0.404 0.846 (multiplicity 8)

The 12 most intense peaks (10° ≤ 2θ ≤ 90°), low angle first:
| 2theta | I/Imax |
| --- | --- |
| 21.71 | 49 |
| 22.58 | 97 |
| 23.79 | 61 |
| 31.53 | 100 |
| 32.43 | 41 |
| 41.11 | 23 |
| 44.98 | 20 |
| 46.11 | 14 |
| 46.96 | 32 |
| 50.24 | 27 |
| 51.51 | 25 |
| 65.84 | 23 |



(4)
For Cs2TeH10O9, a crystal structure in Alexandria, relaxed with GGA-PBE gives the simulated powder X-ray diffraction pattern in this record (Cu Kα (λ = 1.5418 Å)).
Neutral-atom scattering factors, no anomalous dispersion.

Atomic structure:
Cell: 6.935 8.968 9.527 Å, 95.62 101.17 99.52°
Space group P-1 (No. 2)
One atom of each set of equivalent atoms:
Cs 0.038 0.320 0.163 (multiplicity 2)
Cs 0.325 0.871 0.310 (multiplicity 2)
Te 0.390 0.581 0.606 (multiplicity 2)
H 0.077 0.375 0.540 (multiplicity 2)
H 0.162 0.033 0.669 (multiplicity 2)
H 0.178 0.271 0.752 (multiplicity 2)
H 0.206 0.869 0.609 (multiplicity 2)
H 0.231 0.182 0.889 (multiplicity 2)
H 0.335 0.257 0.468 (multiplicity 2)
H 0.357 0.583 0.961 (multiplicity 2)
H 0.404 0.529 0.114 (multiplicity 2)
H 0.453 0.222 0.107 (multiplicity 2)
H 0.494 0.106 0.986 (multiplicity 2)
O 0.122 0.194 0.809 (multiplicity 2)
O 0.167 0.676 0.574 (multiplicity 2)
O 0.215 0.374 0.597 (multiplicity 2)
O 0.240 0.982 0.610 (multiplicity 2)
O 0.315 0.588 0.056 (multiplicity 2)
O 0.382 0.535 0.393 (multiplicity 2)
O 0.390 0.123 0.039 (multiplicity 2)
O 0.412 0.229 0.394 (multiplicity 2)
O 0.455 0.608 0.811 (multiplicity 2)

The 12 most intense peaks (10° ≤ 2θ ≤ 90°), low angle first:
| 2theta | I/Imax |
| --- | --- |
| 10.09 | 43 |
| 14.60 | 70 |
| 21.23 | 100 |
| 22.45 | 70 |
| 25.64 | 55 |
| 26.88 | 44 |
| 29.17 | 66 |
| 29.31 | 73 |
| 29.89 | 32 |
| 30.37 | 35 |
| 32.01 | 29 |
| 35.79 | 29 |



(5)
For Cs2ThH2O4, a crystal structure in Alexandria, relaxed with GGA-PBE gives the simulated powder X-ray diffraction pattern in this record (Cu Kα (λ = 1.5418 Å)).
Neutral-atom scattering factors, no anomalous dispersion.

Atomic structure:
Cell: 13.975 3.648 6.969 Å, 90.00 108.95 90.00°
Space group C2/m (No. 12)
One atom of each set of equivalent atoms:
Cs 0.142 0.000 0.087 (multiplicity 4)
Th 0.000 0.000 0.500 (multiplicity 2)
H 0.222 0.000 0.572 (multiplicity 4)
O 0.012 0.500 0.303 (multiplicity 4)
O 0.184 0.000 0.668 (multiplicity 4)

The 12 most intense peaks (10° ≤ 2θ ≤ 90°), low angle first:
| 2theta | I/Imax |
| --- | --- |
| 13.40 | 36 |
| 15.60 | 19 |
| 21.92 | 57 |
| 25.33 | 74 |
| 25.97 | 100 |
| 27.05 | 21 |
| 31.93 | 35 |
| 34.07 | 23 |
| 35.69 | 63 |
| 37.30 | 42 |
| 40.75 | 27 |
| 57.18 | 34 |



(6)
For Cs3H7Os, a crystal structure in Alexandria, relaxed with GGA-PBE gives the simulated powder X-ray diffraction pattern in this record (Cu Kα (λ = 1.5418 Å)).
Neutral-atom scattering factors, no anomalous dispersion.

Atomic structure:
Cell: 8.852 8.995 6.576 Å, 90.00 132.26 90.00°
Space group Cm (No. 8)
One atom of each set of equivalent atoms:
Cs 0.000 0.000 0.000 (multiplicity 2)
Cs 0.011 0.250 0.501 (multiplicity 4)
H 0.170 0.393 0.001 (multiplicity 4)
H 0.193 0.500 0.359 (multiplicity 2)
H 0.322 0.000 0.999 (multiplicity 2)
H 0.335 0.000 0.642 (multiplicity 2)
H 0.460 0.180 0.000 (multiplicity 4)
Os 0.015 0.500 0.000 (multiplicity 2)

The 12 most intense peaks (10° ≤ 2θ ≤ 90°), low angle first:
| 2theta | I/Imax |
| --- | --- |
| 26.99 | 100 |
| 27.23 | 97 |
| 28.29 | 89 |
| 36.94 | 22 |
| 40.10 | 17 |
| 40.77 | 16 |
| 47.17 | 43 |
| 49.15 | 38 |
| 49.58 | 37 |
| 55.65 | 13 |
| 56.18 | 13 |
| 71.25 | 13 |



(7)
For CsSnHOs, a crystal structure in Alexandria, relaxed with GGA-PBE gives the simulated powder X-ray diffraction pattern in this record (Cu Kα (λ = 1.5418 Å)).
Neutral-atom scattering factors, no anomalous dispersion.

Atomic structure:
Cell: 3.319 4.166 13.752 Å, 90.00 90.00 90.00°
Space group Imm2 (No. 44)
One atom of each set of equivalent atoms:
Cs 0.000 0.000 0.000 (multiplicity 2)
Sn 0.000 0.000 0.260 (multiplicity 2)
H 0.000 0.000 0.609 (multiplicity 2)
Os 0.000 0.000 0.728 (multiplicity 2)

The 12 most intense peaks (10° ≤ 2θ ≤ 90°), low angle first:
| 2theta | I/Imax |
| --- | --- |
| 12.87 | 79 |
| 22.30 | 21 |
| 25.92 | 92 |
| 28.96 | 45 |
| 33.33 | 31 |
| 34.55 | 100 |
| 37.02 | 26 |
| 43.44 | 27 |
| 43.69 | 92 |
| 51.28 | 29 |
| 51.42 | 19 |
| 65.08 | 21 |



(8)
For CsZnH6Os, a crystal structure in Alexandria, relaxed with GGA-PBE gives the simulated powder X-ray diffraction pattern in this record (Cu Kα (λ = 1.5418 Å)).
Neutral-atom scattering factors, no anomalous dispersion.

Atomic structure:
Cell: 4.116 4.847 6.637 Å, 81.45 87.80 65.11°
Space group P1 (No. 1)
One atom of each set of equivalent atoms:
Cs 0.000 0.000 0.000 (multiplicity 1)
Zn 0.656 0.708 0.511 (multiplicity 1)
H 0.100 0.654 0.389 (multiplicity 1)
H 0.283 0.493 0.722 (multiplicity 1)
H 0.319 0.119 0.336 (multiplicity 1)
H 0.527 0.991 0.696 (multiplicity 1)
H 0.574 0.374 0.301 (multiplicity 1)
H 0.817 0.234 0.550 (multiplicity 1)
Os 0.384 0.310 0.512 (multiplicity 1)

The 12 most intense peaks (10° ≤ 2θ ≤ 90°), low angle first:
| 2theta | I/Imax |
| --- | --- |
| 13.50 | 37 |
| 22.82 | 38 |
| 26.18 | 25 |
| 26.45 | 31 |
| 27.18 | 100 |
| 27.82 | 39 |
| 28.81 | 26 |
| 37.78 | 23 |
| 38.15 | 24 |
| 41.80 | 14 |
| 44.01 | 32 |
| 44.81 | 14 |



(9)
For CsP3H6, a crystal structure in Alexandria, relaxed with GGA-PBE gives the simulated powder X-ray diffraction pattern in this record (Cu Kα (λ = 1.5418 Å)).
Neutral-atom scattering factors, no anomalous dispersion.

Atomic structure:
Cell: 10.7511 10.7511 5.3113 Å, 90.00 90.00 120.00°
Space group R3m (No. 160, hexagonal axes)
One atom of each set of equivalent atoms:
Cs 0.0000 0.0000 0.0000 (multiplicity 3)
P 0.1778 0.3557 0.2016 (multiplicity 9)
H 0.1574 0.0787 0.5062 (multiplicity 9)
H 0.1694 0.3389 0.9329 (multiplicity 9)

The 12 most intense peaks (10° ≤ 2θ ≤ 90°), low angle first:
| 2theta | I/Imax |
| --- | --- |
| 16.49 | 65 |
| 19.24 | 47 |
| 25.44 | 100 |
| 28.77 | 17 |
| 30.47 | 51 |
| 33.34 | 58 |
| 35.14 | 22 |
| 38.77 | 19 |
| 39.05 | 18 |
| 42.40 | 23 |
| 42.65 | 17 |
| 54.97 | 20 |



(10)
For CsPH, a crystal structure in Alexandria, relaxed with GGA-PBE gives the simulated powder X-ray diffraction pattern in this record (Cu Kα (λ = 1.5418 Å)).
Neutral-atom scattering factors, no anomalous dispersion.

Atomic structure:
Cell: 5.603 5.986 6.419 Å, 81.67 89.36 63.64°
Space group P1 (No. 1)
One atom of each set of equivalent atoms:
Cs 0.000 0.000 0.000 (multiplicity 1)
Cs 0.311 0.366 0.505 (multiplicity 1)
P 0.604 0.776 0.377 (multiplicity 1)
P 0.690 0.684 0.721 (multiplicity 1)
H 0.498 0.591 0.798 (multiplicity 1)
H 0.761 0.537 0.301 (multiplicity 1)

The 12 most intense peaks (10° ≤ 2θ ≤ 90°), low angle first:
| 2theta | I/Imax |
| --- | --- |
| 20.09 | 53 |
| 21.96 | 100 |
| 23.28 | 37 |
| 23.50 | 44 |
| 23.91 | 38 |
| 28.15 | 26 |
| 29.51 | 42 |
| 30.30 | 39 |
| 31.96 | 36 |
| 34.60 | 16 |
| 38.46 | 13 |
| 48.36 | 14 |



(11)
For CsP4H7, a crystal structure in Alexandria, relaxed with GGA-PBE gives the simulated powder X-ray diffraction pattern in this record (Cu Kα (λ = 1.5418 Å)).
Neutral-atom scattering factors, no anomalous dispersion.

Atomic structure:
Cell: 6.069 6.230 6.951 Å, 112.59 94.90 114.09°
Space group P1 (No. 1)
One atom of each set of equivalent atoms:
Cs 0.000 0.000 0.000 (multiplicity 1)
P 0.273 0.198 0.589 (multiplicity 1)
P 0.289 0.573 0.795 (multiplicity 1)
P 0.626 0.754 0.447 (multiplicity 1)
P 0.735 0.474 0.223 (multiplicity 1)
H 0.086 0.493 0.890 (multiplicity 1)
H 0.140 0.608 0.649 (multiplicity 1)
H 0.367 0.636 0.332 (multiplicity 1)
H 0.541 0.307 0.666 (multiplicity 1)
H 0.546 0.359 0.022 (multiplicity 1)
H 0.594 0.270 0.280 (multiplicity 1)
H 0.710 0.936 0.358 (multiplicity 1)

The 12 most intense peaks (10° ≤ 2θ ≤ 90°), low angle first:
| 2theta | I/Imax |
| --- | --- |
| 14.41 | 31 |
| 16.71 | 24 |
| 16.83 | 29 |
| 17.52 | 100 |
| 24.79 | 21 |
| 25.12 | 72 |
| 26.09 | 69 |
| 26.70 | 63 |
| 29.06 | 41 |
| 31.09 | 40 |
| 33.74 | 24 |
| 36.95 | 22 |